[1]
This entry pairs a crystal structure of Na2Au2SeS with its calculated X-ray powder pattern. Radiation: Cu Kα. Structure: a structure optimized by DFT (PBE).
No peak broadening, texture or thermal motion is included.

Top 10 peaks for 2θ = 5–70°, in order of falling intensity:
2theta, intensity
19.9, 100
31.7, 71
34.9, 42
47.8, 35
31.6, 34
24.5, 27
47.9, 25
66.3, 19
60.5, 16
40.4, 16

Cell and atoms:
```
6
Lattice="7.2767 0.0000 0.0000 0.0000 2.8334 3.6366 0.0000 -2.8334 3.6366" Properties=species:S:1:pos:R:3 pbc="T T T"
Na 0.0000 0.0000 0.0000
Na 3.6384 0.0000 1.9398
Au 1.8622 0.0000 4.6361
Au 5.4145 0.0000 4.6361
Se 0.0000 0.0000 3.0370
S 3.6384 0.0000 6.1475
```


[2]
This entry pairs a crystal structure of NaAu2SeS with its calculated X-ray powder pattern. Radiation: Cu Kα. Structure: a structure optimized by DFT (PBE).
No peak broadening, texture or thermal motion is included.

Top 10 peaks for 2θ = 5–70°, in order of falling intensity:
2theta, intensity
27.0, 100
33.8, 98
42.9, 86
23.0, 66
24.4, 59
49.2, 52
53.6, 34
56.4, 25
55.7, 24
11.4, 21

Cell and atoms:
```
5
Lattice="4.2133 0.0000 0.0000 -2.1066 3.6488 0.0000 0.0000 0.0000 7.7432" Properties=species:S:1:pos:R:3 pbc="T T T"
Na 0.0000 0.0000 0.0000
Au 0.0000 2.4325 5.1424
Au 2.1066 1.2163 2.0773
Se 2.1066 1.2163 5.7572
S 0.0000 2.4325 2.0043
```


[3]
This entry pairs a crystal structure of NaSiTe2AuS with its calculated X-ray powder pattern. Radiation: Cu Kα. Structure: a structure optimized by DFT (PBE).
No peak broadening, texture or thermal motion is included.

Top 10 peaks for 2θ = 5–70°, in order of falling intensity:
2theta, intensity
16.1, 100
22.8, 85
30.3, 83
32.5, 73
31.4, 70
45.0, 57
43.4, 47
28.0, 40
40.0, 37
63.7, 37

Cell and atoms:
```
12
Lattice="2.0467 -6.3728 0.0000 2.0467 6.3728 0.0000 0.0000 0.0000 11.0321" Properties=species:S:1:pos:R:3 pbc="T T T"
Na 2.0467 3.6907 8.2741
Na 2.0467 -3.6907 2.7580
Si 2.0467 0.0000 0.0000
Si 2.0467 0.0000 5.5161
Te 2.0467 4.4914 0.1982
Te 2.0467 4.4914 5.3179
Te 2.0467 -4.4914 5.7143
Te 2.0467 -4.4914 10.8339
Au 2.0467 5.1428 2.7580
Au 2.0467 -5.1428 8.2741
S 2.0467 0.4481 2.7580
S 2.0467 -0.4481 8.2741
```


[4]
This entry pairs a crystal structure of NaSnTeAuS2 with its calculated X-ray powder pattern. Radiation: Cu Kα. Structure: a structure optimized by DFT (PBE).
No peak broadening, texture or thermal motion is included.

Top 10 peaks for 2θ = 5–70°, in order of falling intensity:
2theta, intensity
30.5, 100
11.4, 97
29.4, 59
32.1, 56
25.7, 48
28.1, 41
13.9, 40
38.3, 39
61.5, 36
44.1, 34

Cell and atoms:
```
12
Lattice="1.8804 -7.7477 0.0000 1.8804 7.7477 0.0000 0.0000 0.0000 11.1386" Properties=species:S:1:pos:R:3 pbc="T T T"
Na 1.8804 4.1418 8.3540
Na 1.8804 -4.1418 2.7847
Sn 1.8804 0.0000 0.0000
Sn 1.8804 0.0000 5.5693
Te 1.8804 1.0803 2.7847
Te 1.8804 -1.0803 8.3540
Au 1.8804 5.9127 2.7847
Au 1.8804 -5.9127 8.3540
S 1.8804 5.8963 0.4634
S 1.8804 5.8963 5.1059
S 1.8804 -5.8963 6.0327
S 1.8804 -5.8963 10.6752
```


[5]
This entry pairs a crystal structure of NaSnTe2AuS with its calculated X-ray powder pattern. Radiation: Cu Kα. Structure: a structure optimized by DFT (PBE).
No peak broadening, texture or thermal motion is included.

Top 10 peaks for 2θ = 5–70°, in order of falling intensity:
2theta, intensity
33.1, 100
31.4, 45
41.2, 38
13.7, 36
29.0, 31
30.1, 29
15.8, 27
47.3, 27
26.6, 25
21.4, 24

Cell and atoms:
```
12
Lattice="2.1914 -6.4698 0.0000 2.1914 6.4698 0.0000 0.0000 0.0000 11.3816" Properties=species:S:1:pos:R:3 pbc="T T T"
Na 2.1914 3.7209 8.5362
Na 2.1914 -3.7209 2.8454
Sn 2.1914 0.0000 0.0000
Sn 2.1914 0.0000 5.6908
Te 2.1914 4.3894 0.3996
Te 2.1914 4.3894 5.2911
Te 2.1914 -4.3894 6.0904
Te 2.1914 -4.3894 10.9819
Au 2.1914 5.8533 2.8454
Au 2.1914 -5.8533 8.5362
S 2.1914 0.5785 2.8454
S 2.1914 -0.5785 8.5362
```


[6]
This entry pairs a crystal structure of NaZrAu3S4 with its calculated X-ray powder pattern. Radiation: Cu Kα. Structure: a structure optimized by DFT (PBE).
No peak broadening, texture or thermal motion is included.

Top 10 peaks for 2θ = 5–70°, in order of falling intensity:
2theta, intensity
13.9, 100
8.7, 76
37.4, 39
32.1, 28
23.4, 28
15.7, 21
32.0, 21
31.4, 18
19.1, 17
33.1, 16

Cell and atoms:
```
18
Lattice="5.6849 0.0000 0.0000 0.0000 8.1978 0.0000 -0.9838 0.0000 10.1385" Properties=species:S:1:pos:R:3 pbc="T T T"
Na -0.1446 2.0495 2.0894
Na 4.8458 6.1484 8.0491
Zr 0.4651 6.1484 2.8326
Zr 4.2361 2.0495 7.3059
Au 1.2978 0.5805 5.8821
Au 1.2978 3.5184 5.8821
Au 1.5353 2.0495 8.5398
Au 3.1658 6.1484 1.5987
Au 3.4033 4.6794 4.2564
Au 3.4033 7.6174 4.2564
S -0.3835 2.0495 4.9429
S -0.5919 2.0495 9.5361
S 1.8689 4.1290 2.5313
S 1.8689 8.1677 2.5313
S 2.8323 0.0301 7.6071
S 2.8323 4.0688 7.6071
S 5.2931 6.1484 0.6023
S 5.0846 6.1484 5.1956
```


[7]
This entry pairs a crystal structure of NaSb5Au3 with its calculated X-ray powder pattern. Radiation: Cu Kα. Structure: a structure optimized by DFT (PBE).
No peak broadening, texture or thermal motion is included.

Top 10 peaks for 2θ = 5–70°, in order of falling intensity:
2theta, intensity
10.0, 100
38.1, 81
42.2, 74
30.3, 53
18.1, 35
56.1, 28
20.1, 22
65.1, 20
31.6, 19
33.3, 19

Cell and atoms:
```
9
Lattice="5.6549 0.0000 0.0000 -2.8275 4.8973 0.0000 0.0000 0.0000 8.8380" Properties=species:S:1:pos:R:3 pbc="T T T"
Na 0.0000 0.0000 0.0000
Sb 0.0000 0.0000 4.4190
Sb 0.0000 3.2649 1.5386
Sb 0.0000 3.2649 7.2994
Sb 2.8275 1.6324 1.5386
Sb 2.8275 1.6324 7.2994
Au -1.4137 2.4487 4.4190
Au 2.8275 0.0000 4.4190
Au 1.4137 2.4487 4.4190
```


[8]
This entry pairs a crystal structure of Na5AuSe3 with its calculated X-ray powder pattern. Radiation: Cu Kα. Structure: a structure optimized by DFT (PBE).
No peak broadening, texture or thermal motion is included.

Top 10 peaks for 2θ = 5–70°, in order of falling intensity:
2theta, intensity
19.0, 100
16.9, 82
24.0, 52
34.2, 50
42.6, 33
39.5, 32
49.5, 24
38.4, 23
29.7, 23
38.8, 19

Cell and atoms:
```
9
Lattice="5.2364 0.0000 0.0000 0.0000 5.2364 0.0000 0.0000 0.0000 10.3475" Properties=species:S:1:pos:R:3 pbc="T T T"
Na 0.0000 0.0000 0.0000
Na 0.0000 2.6182 1.9907
Na 0.0000 2.6182 8.3568
Na 2.6182 0.0000 1.9907
Na 2.6182 0.0000 8.3568
Au 0.0000 0.0000 5.1737
Se 0.0000 0.0000 2.7627
Se 0.0000 0.0000 7.5848
Se 2.6182 2.6182 0.0000
```


[9]
This entry pairs a crystal structure of NaTaTe2AuSe with its calculated X-ray powder pattern. Radiation: Cu Kα. Structure: a structure optimized by DFT (PBE).
No peak broadening, texture or thermal motion is included.

Top 10 peaks for 2θ = 5–70°, in order of falling intensity:
2theta, intensity
11.8, 100
34.1, 81
34.8, 37
30.5, 35
40.1, 22
29.2, 21
47.0, 18
52.0, 17
42.0, 17
46.6, 16

Cell and atoms:
```
12
Lattice="1.9315 -7.4886 0.0000 1.9315 7.4886 0.0000 0.0000 0.0000 10.3016" Properties=species:S:1:pos:R:3 pbc="T T T"
Na 1.9315 3.9615 7.7262
Na 1.9315 -3.9615 2.5754
Ta 0.0000 0.0000 0.0000
Ta 0.0000 0.0000 5.1508
Te 1.9315 2.0911 0.2446
Te 1.9315 2.0911 4.9062
Te 1.9315 -2.0911 5.3954
Te 1.9315 -2.0911 10.0569
Au 1.9315 0.7476 2.5754
Au 1.9315 -0.7476 7.7262
Se 1.9315 6.3958 2.5754
Se 1.9315 -6.3958 7.7262
```


[10]
This entry pairs a crystal structure of NaSiAu3 with its calculated X-ray powder pattern. Radiation: Cu Kα. Structure: a structure optimized by DFT (PBE).
No peak broadening, texture or thermal motion is included.

Top 10 peaks for 2θ = 5–70°, in order of falling intensity:
2theta, intensity
35.8, 100
24.1, 61
37.2, 50
41.2, 47
46.0, 40
63.4, 37
44.8, 22
19.6, 18
61.5, 15
29.6, 12

Cell and atoms:
```
40
Lattice="9.0435 0.0000 0.0000 0.0000 9.0435 0.0000 0.0000 0.0000 9.0435" Properties=species:S:1:pos:R:3 pbc="T T T"
Na 0.8778 0.8778 0.8778
Na 0.8778 3.6439 5.3996
Na 3.6439 5.3996 0.8778
Na 3.6439 8.1657 5.3996
Na 5.3996 0.8778 3.6439
Na 5.3996 3.6439 8.1657
Na 8.1657 5.3996 3.6439
Na 8.1657 8.1657 8.1657
Si 1.1182 5.6400 7.9253
Si 1.1182 7.9253 3.4036
Si 3.4036 1.1182 7.9253
Si 3.4036 3.4036 3.4036
Si 5.6400 5.6400 5.6400
Si 5.6400 7.9253 1.1182
Si 7.9253 1.1182 5.6400
Si 7.9253 3.4036 1.1182
Au 0.8440 6.5711 1.1653
Au 0.8440 6.9942 5.6870
Au 1.1653 0.8440 6.5711
Au 1.1653 3.6778 2.0493
Au 2.0493 1.1653 3.6778
Au 2.0493 3.3565 8.1996
Au 2.4724 5.6870 3.6778
Au 2.4724 7.8783 8.1996
Au 3.3565 5.3657 6.5711
Au 3.3565 8.1996 2.0493
Au 3.6778 2.0493 1.1653
Au 3.6778 2.4724 5.6870
Au 5.3657 6.5711 3.3565
Au 5.3657 6.9942 7.8783
Au 5.6870 0.8440 6.9942
Au 5.6870 3.6778 2.4724
Au 6.5711 1.1653 0.8440
Au 6.5711 3.3565 5.3657
Au 6.9942 5.6870 0.8440
Au 6.9942 7.8783 5.3657
Au 7.8783 5.3657 6.9942
Au 7.8783 8.1996 2.4724
Au 8.1996 2.0493 3.3565
Au 8.1996 2.4724 7.8783
```


[11]
This entry pairs a crystal structure of NaSi5Au3 with its calculated X-ray powder pattern. Radiation: Cu Kα. Structure: a structure optimized by DFT (PBE).
No peak broadening, texture or thermal motion is included.

Top 10 peaks for 2θ = 5–70°, in order of falling intensity:
2theta, intensity
14.7, 100
38.3, 75
46.6, 53
35.2, 43
17.4, 28
22.8, 21
29.7, 20
58.5, 18
33.9, 15
65.2, 13

Cell and atoms:
```
9
Lattice="5.8936 0.0000 0.0000 -2.9468 5.1040 0.0000 0.0000 0.0000 6.0244" Properties=species:S:1:pos:R:3 pbc="T T T"
Na 0.0000 0.0000 0.0000
Si 0.0000 0.0000 3.0122
Si 0.0000 3.4026 1.1624
Si 0.0000 3.4026 4.8620
Si 2.9468 1.7013 1.1624
Si 2.9468 1.7013 4.8620
Au -1.4734 2.5520 3.0122
Au 2.9468 0.0000 3.0122
Au 1.4734 2.5520 3.0122
```


[12]
This entry pairs a crystal structure of Na3SnAu2 with its calculated X-ray powder pattern. Radiation: Cu Kα. Structure: a structure optimized by DFT (PBE).
No peak broadening, texture or thermal motion is included.

Top 10 peaks for 2θ = 5–70°, in order of falling intensity:
2theta, intensity
17.7, 100
40.5, 70
36.1, 48
25.3, 36
18.0, 35
40.8, 35
40.3, 26
35.9, 23
36.5, 23
51.7, 19

Cell and atoms:
```
6
Lattice="0.0000 4.9266 5.0229 2.8815 0.0000 5.0229 2.8815 4.9266 0.0000" Properties=species:S:1:pos:R:3 pbc="T T T"
Na 0.0000 0.0000 0.0000
Na 2.8815 3.3376 6.5366
Na 2.8815 6.5157 6.5366
Sn 2.8815 4.9266 3.3734
Au 1.4408 2.4633 3.9851
Au 4.3223 7.3900 9.0080
```


[13]
This entry pairs a crystal structure of NaSnTe4Au3 with its calculated X-ray powder pattern. Radiation: Cu Kα. Structure: a structure optimized by DFT (PBE).
No peak broadening, texture or thermal motion is included.

Top 10 peaks for 2θ = 5–70°, in order of falling intensity:
2theta, intensity
9.1, 100
24.9, 68
36.9, 46
13.7, 46
35.3, 40
37.9, 36
32.1, 32
18.2, 30
37.5, 25
37.2, 22

Cell and atoms:
```
18
Lattice="6.4634 0.0000 0.0000 0.0000 8.6754 0.0000 -2.0481 0.0000 9.6714" Properties=species:S:1:pos:R:3 pbc="T T T"
Na 1.2284 2.1688 0.6469
Na 3.1869 6.5065 9.0245
Sn 1.0389 6.5065 2.8704
Sn 3.3764 2.1688 6.8011
Te -1.1779 4.3960 7.3104
Te -1.1779 8.6170 7.3104
Te 0.0705 6.5065 9.6217
Te 2.1997 2.1688 3.9970
Te 2.2156 6.5065 5.6744
Te 4.3448 2.1688 0.0498
Te 5.5932 0.0583 2.3611
Te 5.5932 4.2794 2.3611
Au 0.2742 0.6053 5.0905
Au 0.2742 3.7324 5.0905
Au 0.6423 2.1688 7.5422
Au 3.7730 6.5065 2.1293
Au 4.1411 4.9430 4.5809
Au 4.1411 8.0701 4.5809
```